The following is a computed PXRD pattern of Ba3Ca2In4. It was derived from a DFT-relaxed cell (PBE, Alexandria), using Cu Kα (weighted mean of Kα1 and Kα2).

Largest 8 diffraction maxima, low angle first, 2θ from 5° to 70°:
d (Å), two_theta, I_rel, index
4.587, 19.35, 195, 2 0 1
2.983, 29.96, 956, 2 0 3
2.908, 30.75, 1000, 3 1 0
2.082, 43.46, 338, 2 2 3
1.737, 52.69, 174, 1 1 6
1.693, 54.18, 347, 5 1 3
1.679, 54.67, 189, 6 0 0
1.454, 64.04, 116, 6 2 0

Structure:
abc: 10.0680 5.8183 11.1047
angles: 90.00 90.03 90.00
Space group C2/m (No. 12)
Inequivalent atoms, fractional coordinates:
Ba (0.0000, 0.0000, 0.0000) (multiplicity 2)
Ba (0.1664, 0.5000, 0.5871) (multiplicity 4)
Ca (0.1674, 0.5000, 0.2059) (multiplicity 4)
In (0.0004, 0.0000, 0.3308) (multiplicity 4)
In (0.1659, 0.5000, 0.8986) (multiplicity 4)